(1)
For Re8Pb8O27, a structure optimized by DFT (PBE) gives the computed X-ray powder pattern in this record (λ = 1.5418 Å (Cu Kα)).
Lines closer than 0.1° are merged.

Top 8 peaks for 2θ = 10–90°, most intense first:
hkl, 2θ/deg, I/Imax
2 0 2, 29.17, 100.0
4 2 2, 57.77, 30.3
2 2 4, 48.51, 27.7
2 2 0, 33.89, 27.3
2 0 6, 57.45, 14.9
4 0 0, 48.69, 14.0
0 0 4, 33.65, 13.8
4 0 4, 60.49, 12.7

Crystal structure
```
data_Re8Pb8O27
_chemical_formula_sum 'Re8 Pb8 O27'
_cell_length_a 7.481
_cell_length_b 7.481
_cell_length_c 10.653
_cell_angle_alpha 90.00
_cell_angle_beta 90.00
_cell_angle_gamma 90.00
_space_group_name_H-M_alt 'P -4 m 2'
_space_group_IT_number 115
loop_
_space_group_symop_operation_xyz
'x,y,z'
'y,-x,-z'
'-x,-y,z'
'-y,x,-z'
'-x,y,z'
'-y,-x,-z'
'x,-y,z'
'y,x,-z'
loop_
_atom_site_label
_atom_site_fract_x
_atom_site_fract_y
_atom_site_fract_z
Re1 0.000 0.249 0.125
Re2 0.251 0.500 0.373
Pb1 0.000 0.249 0.616
Pb2 0.247 0.500 0.876
O1 0.000 0.000 0.188
O2 0.000 0.500 0.062
O3 0.000 0.500 0.443
O4 0.000 0.500 0.719
O5 0.188 0.310 0.251
O6 0.189 0.189 0.000
O7 0.309 0.309 0.500
O8 0.500 0.500 0.000
O9 0.500 0.500 0.312
```



(2)
For Re4Pb4O13, a structure optimized by DFT (PBE) gives the computed X-ray powder pattern in this record (λ = 1.5418 Å (Cu Kα)).
Lines closer than 0.1° are merged.

Top 8 peaks for 2θ = 10–90°, most intense first:
hkl, 2θ/deg, I/Imax
2 2 2, 29.36, 100.0
6 2 2, 58.06, 45.3
4 4 0, 48.90, 42.1
4 0 0, 34.03, 41.1
6 6 2, 79.26, 18.8
8 4 0, 81.75, 17.1
4 4 4, 60.91, 12.5
8 0 0, 71.65, 6.6

Crystal structure
```
data_Re4Pb4O13
_chemical_formula_sum 'Re16 Pb16 O52'
_cell_length_a 10.537
_cell_length_b 10.537
_cell_length_c 10.537
_cell_angle_alpha 90.00
_cell_angle_beta 90.00
_cell_angle_gamma 90.00
_space_group_name_H-M_alt 'F -4 3 m'
_space_group_IT_number 216
_space_group_name_Hall 'F -4 2 3'
loop_
_atom_site_label
_atom_site_fract_x
_atom_site_fract_y
_atom_site_fract_z
Re1 0.125 0.125 0.125
Pb1 0.123 0.123 0.623
O1 0.000 0.000 0.192
O2 0.055 0.250 0.250
O3 0.250 0.250 0.750
```



(3)
For Sb3RhPb4O13, a structure optimized by DFT (PBE) gives the computed X-ray powder pattern in this record (λ = 1.5418 Å (Cu Kα)).
Lines closer than 0.1° are merged.

Top 8 peaks for 2θ = 10–90°, most intense first:
hkl, 2θ/deg, I/Imax
2 0 2, 28.92, 100.0
0 2 4, 33.67, 50.8
0 0 6, 29.42, 32.0
2 2 6, 57.33, 29.7
2 2 0, 48.03, 29.6
2 0 8, 48.68, 28.1
0 4 2, 57.04, 15.2
0 2 10, 57.90, 14.5

Crystal structure
```
data_Sb3RhPb4O13
_chemical_formula_sum 'Sb9 Rh3 Pb12 O39'
_cell_length_a 7.5776
_cell_length_b 7.5776
_cell_length_c 18.2149
_cell_angle_alpha 90.00
_cell_angle_beta 90.00
_cell_angle_gamma 120.00
_space_group_name_H-M_alt 'R 3 m'
_space_group_IT_number 160
_space_group_name_Hall 'R 3 -2"'
loop_
_atom_site_label
_atom_site_fract_x
_atom_site_fract_y
_atom_site_fract_z
Sb1 0.0006 0.5003 0.0000
Rh1 0.0000 0.0000 0.4995
Pb1 0.0000 0.0000 0.9986
Pb2 0.0042 0.5021 0.5008
O1 0.0000 0.0000 0.1244
O2 0.0647 0.5323 0.1070
O3 0.0696 0.5348 0.3570
O4 0.1969 0.3938 0.2257
O5 0.2027 0.4055 0.9772
```



(4)
For Ru4Pb4O13, a structure optimized by DFT (PBE) gives the computed X-ray powder pattern in this record (λ = 1.5418 Å (Cu Kα)).
Lines closer than 0.1° are merged.

Top 8 peaks for 2θ = 10–90°, most intense first:
hkl, 2θ/deg, I/Imax
2 2 2, 29.82, 100.0
6 2 2, 59.03, 44.0
4 4 0, 49.69, 42.9
4 0 0, 34.57, 38.1
6 6 2, 80.71, 18.3
8 4 0, 83.26, 16.3
4 4 4, 61.94, 11.7
3 3 1, 37.78, 8.3

Crystal structure
```
data_Ru4Pb4O13
_chemical_formula_sum 'Ru16 Pb16 O52'
_cell_length_a 10.379
_cell_length_b 10.379
_cell_length_c 10.379
_cell_angle_alpha 90.00
_cell_angle_beta 90.00
_cell_angle_gamma 90.00
_space_group_name_H-M_alt 'F -4 3 m'
_space_group_IT_number 216
_space_group_name_Hall 'F -4 2 3'
loop_
_atom_site_label
_atom_site_fract_x
_atom_site_fract_y
_atom_site_fract_z
Ru1 0.125 0.125 0.125
Pb1 0.127 0.127 0.627
O1 0.000 0.000 0.198
O2 0.000 0.000 0.500
O3 0.055 0.250 0.250
```



(5)
For PbS3O10, a structure optimized by DFT (PBE) gives the computed X-ray powder pattern in this record (λ = 1.5418 Å (Cu Kα)).
Lines closer than 0.1° are merged.

Top 8 peaks for 2θ = 10–90°, most intense first:
hkl, 2θ/deg, I/Imax
1 1 1, 16.72, 100.0
2 2 0, 25.75, 77.2
2 0 0, 15.77, 72.0
2 0 2, 26.81, 61.2
2 2 2, 33.81, 59.0
3 1 1, 28.06, 49.3
0 2 2, 29.72, 43.5
0 0 2, 21.54, 40.5

Crystal structure
```
data_PbS3O10
_chemical_formula_sum 'Pb4 S12 O40'
_cell_length_a 11.241
_cell_length_b 8.780
_cell_length_c 8.251
_cell_angle_alpha 90.00
_cell_angle_beta 90.00
_cell_angle_gamma 90.00
_space_group_name_H-M_alt 'P b c n'
_space_group_IT_number 60
loop_
_space_group_symop_operation_xyz
'x,y,z'
'-x,-y,-z'
'-x+1/2,-y+1/2,z+1/2'
'x+1/2,y+1/2,-z+1/2'
'x+1/2,-y+1/2,-z'
'-x+1/2,y+1/2,z'
'-x,y,-z+1/2'
'x,-y,z+1/2'
loop_
_atom_site_label
_atom_site_fract_x
_atom_site_fract_y
_atom_site_fract_z
Pb1 0.000 0.216 0.250
S1 0.000 0.216 0.750
S2 0.174 0.430 0.597
O1 0.007 0.133 0.900
O2 0.106 0.430 0.100
O3 0.111 0.324 0.754
O4 0.160 0.338 0.453
O5 0.207 0.060 0.163
```



What did the fifth record say?
For PbS3O10, a structure optimized by DFT (PBE) gives the computed X-ray powder pattern in this record (λ = 1.5418 Å (Cu Kα)).
Lines closer than 0.1° are merged.

Top 8 peaks for 2θ = 10–90°, most intense first:
hkl, 2θ/deg, I/Imax
1 1 1, 16.72, 100.0
2 2 0, 25.75, 77.2
2 0 0, 15.77, 72.0
2 0 2, 26.81, 61.2
2 2 2, 33.81, 59.0
3 1 1, 28.06, 49.3
0 2 2, 29.72, 43.5
0 0 2, 21.54, 40.5

Crystal structure
```
data_PbS3O10
_chemical_formula_sum 'Pb4 S12 O40'
_cell_length_a 11.241
_cell_length_b 8.780
_cell_length_c 8.251
_cell_angle_alpha 90.00
_cell_angle_beta 90.00
_cell_angle_gamma 90.00
_space_group_name_H-M_alt 'P b c n'
_space_group_IT_number 60
loop_
_space_group_symop_operation_xyz
'x,y,z'
'-x,-y,-z'
'-x+1/2,-y+1/2,z+1/2'
'x+1/2,y+1/2,-z+1/2'
'x+1/2,-y+1/2,-z'
'-x+1/2,y+1/2,z'
'-x,y,-z+1/2'
'x,-y,z+1/2'
loop_
_atom_site_label
_atom_site_fract_x
_atom_site_fract_y
_atom_site_fract_z
Pb1 0.000 0.216 0.250
S1 0.000 0.216 0.750
S2 0.174 0.430 0.597
O1 0.007 0.133 0.900
O2 0.106 0.430 0.100
O3 0.111 0.324 0.754
O4 0.160 0.338 0.453
O5 0.207 0.060 0.163
```